The following is a calculated XRD peak list of CsVSeO5. It was derived from the PBE+U geometry in Alexandria, using Cu Kα (λ = 1.5418 Å).
No peak broadening, texture or thermal motion is included.

The 6 most intense peaks (10 to 90 degrees two-theta), sorted by position:
- 2θ = 22.02°, rel. 37, (1 0 2)
- 2θ = 23.70°, rel. 58, (1 1 -2)
- 2θ = 24.11°, rel. 100, (0 2 1)
- 2θ = 24.55°, rel. 45, (2 1 0)
- 2θ = 25.80°, rel. 42, (2 1 -1)
- 2θ = 26.73°, rel. 77, (2 1 1)

Structural model:
Cell lengths 8.151, 7.995, 9.636 Å; angles 90.00, 93.40, 90.00 degrees
Fractional positions:
Cs  0.098  0.000  0.134
Cs  0.378  0.234  0.603
Cs  0.622  0.734  0.397
Cs  0.902  0.500  0.866
V  0.084  0.542  0.272
V  0.421  0.678  0.769
V  0.579  0.178  0.231
V  0.916  0.042  0.728
Se  0.117  0.743  0.555
Se  0.381  0.469  0.077
Se  0.619  0.969  0.923
Se  0.883  0.243  0.445
O  0.006  0.104  0.544
O  0.030  0.308  0.333
O  0.057  0.136  0.831
O  0.192  0.403  0.132
O  0.219  0.595  0.664
O  0.246  0.670  0.299
O  0.322  0.516  0.907
O  0.406  0.867  0.690
O  0.432  0.073  0.303
O  0.474  0.272  0.056
O  0.526  0.772  0.944
O  0.568  0.573  0.697
O  0.594  0.367  0.310
O  0.678  0.016  0.093
O  0.754  0.170  0.701
O  0.781  0.095  0.336
O  0.808  0.903  0.868
O  0.943  0.636  0.169
O  0.970  0.808  0.667
O  0.994  0.604  0.456